For CeMg2Ga2Ir, the GGA-PBE geometry in Alexandria gives the calculated powder XRD pattern in this record (Cu Kα (weighted mean of Kα1 and Kα2)).
Kinematic intensities with the Lorentz-polarization factor, no thermal factor.

Principal peaks in the range 10° ≤ 2θ ≤ 80°, low angle first:
| 2theta | d [Å] | I_rel | h k l |
| --- | --- | --- | --- |
| 25.0 | 3.558 | 100 | 1 1 0 |
| 29.8 | 2.996 | 44 | 1 1 2 |
| 32.2 | 2.779 | 32 | 0 0 4 |
| 35.7 | 2.516 | 62 | 2 0 0 |
| 41.2 | 2.190 | 40 | 1 1 4 |
| 48.8 | 1.865 | 40 | 2 0 4 |
| 51.4 | 1.779 | 22 | 2 2 0 |
| 58.0 | 1.591 | 20 | 3 1 0 |
| 61.9 | 1.498 | 20 | 2 2 4 |
| 67.9 | 1.381 | 18 | 3 1 4 |

abc: 5.0318 5.0318 11.1142
angles: 90.00 90.00 90.00
Sites, in units of the cell vectors:
Ce  0.0000  0.0000  0.0000
Ce  0.5000  0.5000  0.5000
Mg  0.0000  0.5000  0.2500
Mg  0.0000  0.5000  0.7500
Mg  0.5000  0.0000  0.2500
Mg  0.5000  0.0000  0.7500
Ga  0.0000  0.0000  0.2867
Ga  0.0000  0.0000  0.7133
Ga  0.5000  0.5000  0.2133
Ga  0.5000  0.5000  0.7867
Ir  0.0000  0.0000  0.5000
Ir  0.5000  0.5000  0.0000